This entry pairs a crystal structure of RbCd2FeF8 with its calculated powder diffraction line list. Radiation: a wavelength of 1.5418 Å. Structure: a DFT-relaxed cell (GGA+U, Alexandria).
Intensities are scaled so that the largest is 100.

The 6 most intense peaks (10 to 90 degrees two-theta), in order of rising 2θ:
| Position (°2θ) | intensity | hkl |
| --- | --- | --- |
| 24.3 | 100 | 1 1 0 |
| 24.8 | 83 | 1 -1 0 |
| 29.8 | 45 | 0 1 2 |
| 29.9 | 77 | 0 1 -2 |
| 46.4 | 34 | 1 2 -2 |
| 49.7 | 32 | 0 0 4 |

Structural model:
Cell: 5.105 5.163 7.344 Å, 89.63 89.76 88.76°
Fractional coordinates of all 12 atoms:
Rb (0.000, 0.000, 0.000)
Cd (0.499, 0.499, 0.256)
Cd (0.501, 0.501, 0.744)
Fe (0.000, 0.000, 0.500)
F (0.169, 0.785, 0.686)
F (0.174, 0.789, 0.315)
F (0.297, 0.260, 0.501)
F (0.419, 0.273, 0.001)
F (0.581, 0.727, 0.999)
F (0.703, 0.740, 0.499)
F (0.826, 0.211, 0.685)
F (0.831, 0.215, 0.314)